# ErHf2Co9
Computed XRD peak list, Cu Kα (weighted mean of Kα1 and Kα2). Input: the PBE geometry in OQMD.

Cell and atoms:
a = 4.8439 Å, b = 4.8439 Å, c = 23.6108 Å
α = 90.00°, β = 90.00°, γ = 120.00°
Space group R-3m (No. 166, hexagonal axes)
Inequivalent atoms, fractional coordinates:
1 Er 0.0000 0.0000 0.0000
2 Hf 0.0000 0.0000 0.1398
3 Co 0.0000 0.0000 0.3356
4 Co 0.0000 0.0000 0.5000
5 Co 0.0064 0.5032 0.9155

Main lines, in order of rising 2θ (5° ≤ 2θ ≤ 70°):
(1 0 1), 21.51 deg, I = 16; (1 0 7), 34.11 deg, I = 52; (1 1 0), 37.12 deg, I = 57; (0 1 8), 37.25 deg, I = 42; (0 2 1), 43.31 deg, I = 37; (1 1 6), 43.89 deg, I = 100; (2 0 5), 47.43 deg, I = 12; (0 1 11), 47.59 deg, I = 13; (2 1 7), 64.99 deg, I = 16; (3 0 0), 66.96 deg, I = 24